# 1
Starting from DFT lattice parameters and positions (GGA-PBE), the powder diffractogram of Tl8Cd3Hg was computed for Cu Kα (λ = 1.5418 Å).

Most intense lines, 10 to 80 degrees two-theta, sorted by position:
d = 2.942 Å, intensity 42; d = 2.820 Å, intensity 60; d = 2.605 Å, intensity 100; d = 2.335 Å, intensity 31; d = 1.829 Å, intensity 17; d = 1.677 Å, intensity 26; d = 1.626 Å, intensity 24; d = 1.457 Å, intensity 36; d = 1.441 Å, intensity 8; d = 1.410 Å, intensity 15

Structural model:
```
data_Tl8Cd3Hg
_cell_length_a 5.8096
_cell_length_b 5.8096
_cell_length_c 11.7691
_cell_angle_alpha 90.00
_cell_angle_beta 90.00
_cell_angle_gamma 120.00
_space_group_name_H-M_alt 'P -3 1 m'
_space_group_IT_number 162
_space_group_name_Hall '-P 3 2'
loop_
_atom_site_label
_atom_site_type_symbol
_atom_site_fract_x
_atom_site_fract_y
_atom_site_fract_z
_atom_site_occupancy
Tl1 Tl 0.0000 0.3326 0.2366 1
Tl2 Tl 0.3333 0.6667 0.5000 1
Cd1 Cd 0.0000 0.0000 0.0000 1
Cd2 Cd 0.3333 0.6667 0.0000 1
Hg1 Hg 0.0000 0.0000 0.5000 1
```


# 2
Starting from DFT lattice parameters and positions (GGA-PBE), the powder diffractogram of Tl2Cd3Hg6 was computed for Cu Kα (λ = 1.5418 Å).

Most intense lines, 10 to 80 degrees two-theta, sorted by position:
d = 2.845 Å, intensity 100; d = 2.490 Å, intensity 10; d = 2.418 Å, intensity 12; d = 2.353 Å, intensity 48; d = 2.219 Å, intensity 8; d = 1.786 Å, intensity 28; d = 1.512 Å, intensity 15; d = 1.483 Å, intensity 7; d = 1.436 Å, intensity 14; d = 1.423 Å, intensity 10

Structural model:
```
data_Tl2Cd3Hg6
_cell_length_a 3.5714
_cell_length_b 3.5714
_cell_length_c 79.7967
_cell_angle_alpha 90.00
_cell_angle_beta 90.00
_cell_angle_gamma 120.00
_space_group_name_H-M_alt 'R -3 m'
_space_group_IT_number 166
_space_group_name_Hall '-R 3 2"'
loop_
_atom_site_label
_atom_site_type_symbol
_atom_site_fract_x
_atom_site_fract_y
_atom_site_fract_z
_atom_site_occupancy
Tl1 Tl 0.0000 0.0000 0.0493 1
Cd1 Cd 0.0000 0.0000 0.2230 1
Cd2 Cd 0.0000 0.0000 0.5000 1
Hg1 Hg 0.0000 0.0000 0.1385 1
Hg2 Hg 0.0000 0.0000 0.3178 1
Hg3 Hg 0.0000 0.0000 0.4152 1
```


# 3
Starting from DFT lattice parameters and positions (GGA-PBE), the powder diffractogram of Tl3Cd2Hg6 was computed for Cu Kα (λ = 1.5418 Å).

Most intense lines, 10 to 80 degrees two-theta, sorted by position:
d = 2.883 Å, intensity 100; d = 2.518 Å, intensity 7; d = 2.426 Å, intensity 14; d = 2.377 Å, intensity 51; d = 1.813 Å, intensity 28; d = 1.574 Å, intensity 8; d = 1.535 Å, intensity 15; d = 1.500 Å, intensity 5; d = 1.452 Å, intensity 17; d = 1.442 Å, intensity 11

Structural model:
```
data_Tl3Cd2Hg6
_cell_length_a 3.6261
_cell_length_b 3.6261
_cell_length_c 80.0441
_cell_angle_alpha 90.00
_cell_angle_beta 90.00
_cell_angle_gamma 120.00
_space_group_name_H-M_alt 'R -3 m'
_space_group_IT_number 166
_space_group_name_Hall '-R 3 2"'
loop_
_atom_site_label
_atom_site_type_symbol
_atom_site_fract_x
_atom_site_fract_y
_atom_site_fract_z
_atom_site_occupancy
Tl1 Tl 0.0000 0.0000 0.0000 1
Tl2 Tl 0.0000 0.0000 0.2687 1
Cd1 Cd 0.0000 0.0000 0.4573 1
Hg1 Hg 0.0000 0.0000 0.0959 1
Hg2 Hg 0.0000 0.0000 0.1813 1
Hg3 Hg 0.0000 0.0000 0.3657 1
```